Starting from a cell relaxed with PBE, the XRD peak list of YSn4Pd2 was computed for Cu Kα (λ = 1.5418 Å).

Structure:
Lattice parameters (Å, degrees): 19.052 4.424 7.557 90.00 90.00 90.00
Fractional coordinates of all 28 atoms:
Y: 0.144 0.250 0.036
Y: 0.356 0.750 0.536
Y: 0.644 0.250 0.464
Y: 0.856 0.750 0.964
Sn: 0.034 0.750 0.869
Sn: 0.066 0.250 0.493
Sn: 0.182 0.750 0.329
Sn: 0.192 0.750 0.753
Sn: 0.308 0.250 0.253
Sn: 0.318 0.250 0.829
Sn: 0.434 0.750 0.993
Sn: 0.466 0.250 0.369
Sn: 0.534 0.750 0.631
Sn: 0.566 0.250 0.007
Sn: 0.682 0.750 0.171
Sn: 0.692 0.750 0.747
Sn: 0.808 0.250 0.247
Sn: 0.818 0.250 0.671
Sn: 0.934 0.750 0.507
Sn: 0.966 0.250 0.131
Pd: 0.041 0.750 0.237
Pd: 0.217 0.250 0.547
Pd: 0.283 0.750 0.047
Pd: 0.459 0.250 0.737
Pd: 0.541 0.750 0.263
Pd: 0.717 0.250 0.953
Pd: 0.783 0.750 0.453
Pd: 0.959 0.250 0.763

Principal peaks in the range 2θ from 10° to 80°, by angle:
- 2θ = 31.5°, I = 21, hkl 1 1 2
- 2θ = 32.6°, I = 100, hkl 2 1 2
- 2θ = 33.2°, I = 78, hkl 5 1 1
- 2θ = 34.8°, I = 22, hkl 6 1 0
- 2θ = 35.0°, I = 28, hkl 7 0 1
- 2θ = 37.8°, I = 16, hkl 8 0 0
- 2θ = 40.8°, I = 56, hkl 0 2 0
- 2θ = 42.4°, I = 70, hkl 6 1 2
- 2θ = 60.9°, I = 16, hkl 9 1 3
- 2θ = 62.1°, I = 17, hkl 12 1 0